No. 1
Diffraction record for KW2Se2Br6. The X-ray powder pattern is calculated, not measured: it uses a DFT-relaxed cell (GGA-PBE, OQMD) and copper Kα.
Neutral-atom scattering factors, no anomalous dispersion.

```
KW2Se2Br6
1.0
-2.417 5.362 6.587
2.417 -5.362 6.587
2.417 5.362 -6.587
K W Se Br
1 2 2 6
Direct
0.000 0.000 0.000
0.358 0.500 0.858
0.642 0.500 0.142
0.352 0.000 0.352
0.648 0.000 0.648
0.045 0.367 0.678
0.311 0.633 0.678
0.343 0.343 0.000
0.657 0.657 0.000
0.689 0.367 0.322
0.955 0.633 0.322
```

Main lines, sorted by position (10° ≤ 2θ ≤ 80°):
2θ = 10.6°, 8.316 Å, rel. 100.0; 2θ = 13.4°, 6.587 Å, rel. 88.0; 2θ = 19.6°, 4.538 Å, rel. 77.5; 2θ = 32.3°, 2.772 Å, rel. 89.3; 2θ = 34.0°, 2.636 Å, rel. 16.3; 2θ = 36.2°, 2.483 Å, rel. 17.1; 2θ = 37.2°, 2.417 Å, rel. 38.1; 2θ = 41.1°, 2.196 Å, rel. 17.2; 2θ = 41.7°, 2.165 Å, rel. 31.5; 2θ = 42.6°, 2.121 Å, rel. 19.4; 2θ = 50.1°, 1.822 Å, rel. 50.4; 2θ = 57.9°, 1.594 Å, rel. 17.8

=====

No. 2
Diffraction record for Nd4Er11S22. The X-ray powder pattern is calculated, not measured: it uses a DFT-relaxed cell (GGA-PBE, OQMD) and copper Kα.
Neutral-atom scattering factors, no anomalous dispersion.

```
Nd4Er11S22
1.0
19.495 -1.966 0.000
19.495 1.966 0.000
-0.313 0.000 11.320
Nd Er S
4 11 22
Direct
0.105 0.105 0.012
0.368 0.368 0.349
0.632 0.632 0.651
0.895 0.895 0.988
0.000 0.000 0.000
0.070 0.070 0.360
0.202 0.202 0.942
0.264 0.264 0.352
0.342 0.342 0.699
0.462 0.462 0.270
0.538 0.538 0.730
0.658 0.658 0.301
0.736 0.736 0.648
0.798 0.798 0.058
0.930 0.930 0.640
0.008 0.008 0.240
0.088 0.088 0.754
0.135 0.135 0.453
0.169 0.169 0.151
0.188 0.188 0.691
0.255 0.255 0.120
0.280 0.280 0.591
0.350 0.350 0.093
0.407 0.407 0.789
0.444 0.444 0.493
0.453 0.453 0.030
0.547 0.547 0.970
0.556 0.556 0.507
0.593 0.593 0.211
0.650 0.650 0.907
0.720 0.720 0.409
0.745 0.745 0.880
0.812 0.812 0.309
0.831 0.831 0.849
0.865 0.865 0.547
0.912 0.912 0.246
0.992 0.992 0.760
```

Main lines, sorted by position (10° ≤ 2θ ≤ 80°):
2θ = 23.6°, 3.773 Å, rel. 80.3; 2θ = 24.4°, 3.654 Å, rel. 100.0; 2θ = 25.0°, 3.559 Å, rel. 38.2; 2θ = 26.5°, 3.364 Å, rel. 58.7; 2θ = 27.4°, 3.252 Å, rel. 48.5; 2θ = 27.8°, 3.214 Å, rel. 53.9; 2θ = 31.6°, 2.832 Å, rel. 63.9; 2θ = 34.1°, 2.632 Å, rel. 56.4; 2θ = 42.3°, 2.138 Å, rel. 55.0; 2θ = 44.2°, 2.048 Å, rel. 36.4; 2θ = 46.2°, 1.966 Å, rel. 43.6; 2θ = 46.4°, 1.957 Å, rel. 36.3

=====

No. 3
Diffraction record for NdLuPa. The X-ray powder pattern is calculated, not measured: it uses a DFT-relaxed cell (GGA-PBE, OQMD) and copper Kα.
Neutral-atom scattering factors, no anomalous dispersion.

```
NdLuPa
1.0
7.286 0.000 0.000
0.000 7.286 0.000
0.000 0.000 7.286
Nd Lu Pa
4 4 4
Direct
0.000 0.000 0.000
0.000 0.500 0.500
0.500 0.000 0.500
0.500 0.500 0.000
0.250 0.250 0.250
0.250 0.750 0.750
0.750 0.250 0.750
0.750 0.750 0.250
0.250 0.250 0.750
0.250 0.750 0.250
0.750 0.250 0.250
0.750 0.750 0.750
```

Main lines, sorted by position (10° ≤ 2θ ≤ 80°):
2θ = 21.1°, 4.207 Å, rel. 18.8; 2θ = 24.4°, 3.643 Å, rel. 26.7; 2θ = 34.8°, 2.576 Å, rel. 100.0; 2θ = 41.1°, 2.197 Å, rel. 10.2; 2θ = 43.0°, 2.103 Å, rel. 8.3; 2θ = 50.1°, 1.822 Å, rel. 18.1; 2θ = 54.9°, 1.672 Å, rel. 4.4; 2θ = 56.5°, 1.629 Å, rel. 11.4; 2θ = 62.4°, 1.487 Å, rel. 37.7; 2θ = 66.7°, 1.402 Å, rel. 3.3; 2θ = 73.5°, 1.288 Å, rel. 11.7; 2θ = 78.8°, 1.214 Å, rel. 5.6